Diffraction record for Hf6SbPb2. The powder XRD pattern is theoretical, not measured: it uses a DFT-relaxed cell (PBE, Alexandria) and λ = 1.5418 Å (Cu Kα).
No peak broadening, texture or thermal motion is included.

Cell and atoms:
```
Hf6SbPb2
1.0
8.7306 0.0000 0.0000
0.0000 9.1517 0.0000
0.0000 0.0000 5.0587
Hf Sb Pb
12 2 4
direct
0.0044 0.1633 0.0000
0.1588 0.5876 0.5000
0.1676 0.9242 0.5000
0.3324 0.4242 0.0000
0.3412 0.0876 0.0000
0.4956 0.6633 0.5000
0.5044 0.3367 0.5000
0.6588 0.9124 0.0000
0.6676 0.5758 0.0000
0.8324 0.0758 0.5000
0.8412 0.4124 0.5000
0.9956 0.8367 0.0000
0.0000 0.5000 0.0000
0.5000 0.0000 0.5000
0.1707 0.2539 0.5000
0.3293 0.7539 0.0000
0.6707 0.2461 0.0000
0.8293 0.7461 0.5000
```

Top 12 peaks for 2θ = 10–80°, in order of falling intensity:
h k l	two_theta	intensity
0 0 2	35.56	100
2 3 0	35.89	72
2 3 2	51.42	26
5 3 1	64.12	18
6 0 0	63.98	15
1 6 1	64.73	15
3 0 3	63.79	12
0 3 1	34.33	10
6 0 2	75.36	8
1 3 0	31.05	7
2 3 1	40.23	7
2 6 2	76.06	6